Record 1
Starting from the PBE geometry in Alexandria, the PXRD pattern of AcTb3Nd2Te6 was calculated for λ = 1.5418 Å (Cu Kα).
No peak broadening, texture or thermal motion is included.

Top 12 peaks for 10 to 80 degrees two-theta, in order of falling intensity:
2θ = 28.2°, rel. 100.0, hkl 2 0 -2; 2θ = 39.9°, rel. 25.8, hkl 1 3 -3; 2θ = 40.8°, rel. 24.8, hkl 3 3 -1; 2θ = 50.1°, rel. 13.5, hkl 2 6 -2; 2θ = 40.1°, rel. 12.6, hkl 2 0 2; 2θ = 40.5°, rel. 12.6, hkl 0 6 0; 2θ = 58.3°, rel. 12.5, hkl 4 0 -4; 2θ = 66.7°, rel. 11.3, hkl 5 3 -3; 2θ = 73.9°, rel. 8.4, hkl 3 9 -1; 2θ = 49.0°, rel. 6.9, hkl 0 0 4; 2θ = 50.5°, rel. 6.6, hkl 4 0 0; 2θ = 65.4°, rel. 5.8, hkl 3 3 -5

Atomic structure:
Unit cell a=7.650 b=13.365 c=7.873 alpha=90.00 beta=109.19 gamma=90.00
Space group C2/m (No. 12)
Unique sites:
Ac1 0.000 0.000 0.000 [2 per cell]
Tb1 0.000 0.161 0.500 [4 per cell]
Tb2 0.000 0.500 0.500 [2 per cell]
Nd1 0.000 0.332 0.000 [4 per cell]
Te1 0.239 0.329 0.732 [8 per cell]
Te2 0.244 0.500 0.260 [4 per cell]

---

Record 2
Starting from the PBE geometry in Alexandria, the PXRD pattern of CaAl2F8 was calculated for λ = 1.5418 Å (Cu Kα).
No peak broadening, texture or thermal motion is included.

Top 12 peaks for 10 to 80 degrees two-theta, in order of falling intensity:
2θ = 19.4°, rel. 100.0, hkl 1 1 1; 2θ = 47.6°, rel. 23.3, hkl 0 0 4; 2θ = 42.4°, rel. 22.2, hkl 2 4 0; 2θ = 28.5°, rel. 21.3, hkl 0 2 2; 2θ = 40.5°, rel. 18.4, hkl 0 4 2; 2θ = 38.4°, rel. 14.8, hkl 1 1 -3; 2θ = 47.2°, rel. 13.7, hkl 3 3 0; 2θ = 49.0°, rel. 13.5, hkl 3 3 1; 2θ = 27.7°, rel. 13.3, hkl 1 3 0; 2θ = 31.0°, rel. 11.1, hkl 2 2 0; 2θ = 19.9°, rel. 8.9, hkl 0 2 1; 2θ = 30.0°, rel. 7.9, hkl 1 3 -1

Atomic structure:
Unit cell a=6.786 b=10.976 c=7.647 alpha=90.00 beta=90.78 gamma=90.00
Space group C2/c (No. 15)
Unique sites:
Ca1 0.000 0.032 0.250 [4 per cell]
Al1 0.000 0.371 0.250 [4 per cell]
Al2 0.250 0.250 0.000 [4 per cell]
F1 0.037 0.351 0.013 [8 per cell]
F2 0.080 0.121 0.971 [8 per cell]
F3 0.191 0.474 0.284 [8 per cell]
F4 0.193 0.239 0.239 [8 per cell]

---

Record 3
Starting from the PBE geometry in Alexandria, the PXRD pattern of CeSmInRu was calculated for λ = 1.5418 Å (Cu Kα).
No peak broadening, texture or thermal motion is included.

Top 12 peaks for 10 to 80 degrees two-theta, in order of falling intensity:
2θ = 33.8°, rel. 100.0, hkl 1 0 2; 2θ = 37.5°, rel. 45.2, hkl 1 1 0; 2θ = 65.2°, rel. 29.0, hkl 2 1 2; 2θ = 54.0°, rel. 17.7, hkl 2 0 0; 2θ = 58.0°, rel. 11.5, hkl 1 1 4; 2θ = 41.5°, rel. 10.3, hkl 1 0 3; 2θ = 10.4°, rel. 8.3, hkl 0 0 1; 2θ = 49.8°, rel. 8.2, hkl 1 1 3; 2θ = 61.0°, rel. 8.1, hkl 1 0 5; 2θ = 79.9°, rel. 7.7, hkl 2 2 0; 2θ = 42.6°, rel. 7.3, hkl 0 0 4; 2θ = 31.6°, rel. 7.3, hkl 0 0 3

Atomic structure:
Unit cell a=3.396 b=3.396 c=8.493 alpha=90.00 beta=90.00 gamma=90.00
Space group P4mm (No. 99)
Unique sites:
Ce1 0.000 0.000 0.000 [1 per cell]
Sm1 0.000 0.000 0.412 [1 per cell]
In1 0.500 0.500 0.705 [1 per cell]
Ru1 0.500 0.500 0.197 [1 per cell]

---

Repeat the second record exactly.
Starting from the PBE geometry in Alexandria, the PXRD pattern of CaAl2F8 was calculated for λ = 1.5418 Å (Cu Kα).
No peak broadening, texture or thermal motion is included.

Top 12 peaks for 10 to 80 degrees two-theta, in order of falling intensity:
2θ = 19.4°, rel. 100.0, hkl 1 1 1; 2θ = 47.6°, rel. 23.3, hkl 0 0 4; 2θ = 42.4°, rel. 22.2, hkl 2 4 0; 2θ = 28.5°, rel. 21.3, hkl 0 2 2; 2θ = 40.5°, rel. 18.4, hkl 0 4 2; 2θ = 38.4°, rel. 14.8, hkl 1 1 -3; 2θ = 47.2°, rel. 13.7, hkl 3 3 0; 2θ = 49.0°, rel. 13.5, hkl 3 3 1; 2θ = 27.7°, rel. 13.3, hkl 1 3 0; 2θ = 31.0°, rel. 11.1, hkl 2 2 0; 2θ = 19.9°, rel. 8.9, hkl 0 2 1; 2θ = 30.0°, rel. 7.9, hkl 1 3 -1

Atomic structure:
Unit cell a=6.786 b=10.976 c=7.647 alpha=90.00 beta=90.78 gamma=90.00
Space group C2/c (No. 15)
Unique sites:
Ca1 0.000 0.032 0.250 [4 per cell]
Al1 0.000 0.371 0.250 [4 per cell]
Al2 0.250 0.250 0.000 [4 per cell]
F1 0.037 0.351 0.013 [8 per cell]
F2 0.080 0.121 0.971 [8 per cell]
F3 0.191 0.474 0.284 [8 per cell]
F4 0.193 0.239 0.239 [8 per cell]

---

Question: Number 1 is which compound?
Answer: AcTb3Nd2Te6